Record 1
Simulated powder X-ray diffraction pattern of Sc2Be16Si for Cu Ka, from a crystal structure in Alexandria, relaxed with GGA-PBE.
Neutral-atom scattering factors, no anomalous dispersion.

Structure:
```
data_Sc2Be16Si
_symmetry_space_group_name_H-M 'R 3 m'
_symmetry_Int_Tables_number 160
_symmetry_space_group_name_Hall 'R 3 -2"'
_cell_length_a 7.5723
_cell_length_b 7.5723
_cell_length_c 11.0486
_cell_angle_alpha 90.00
_cell_angle_beta 90.00
_cell_angle_gamma 120.00
loop_
_atom_site_label
_atom_site_fract_x
_atom_site_fract_y
_atom_site_fract_z
_atom_site_occupancy
Sc1 0.0000 0.0000 0.0000 1
Sc2 0.0000 0.0000 0.3229 1
Be1 0.0000 0.0000 0.5603 1
Be2 0.0005 0.5002 0.8189 1
Be3 0.0064 0.5032 0.1605 1
Be4 0.0384 0.3712 0.3261 1
Be5 0.1694 0.3387 0.8356 1
Si1 0.0000 0.0000 0.7584 1
```

Main lines, in order of rising 2θ (10° ≤ 2θ ≤ 80°):
d = 3.786 Å, rel. 100, hkl 1 1 0
d = 3.683 Å, rel. 17, hkl 0 0 3
d = 2.640 Å, rel. 70, hkl 1 1 3
d = 2.546 Å, rel. 25, hkl 1 0 4
d = 2.186 Å, rel. 52, hkl 3 0 0
d = 2.112 Å, rel. 23, hkl 0 2 4
d = 1.893 Å, rel. 45, hkl 2 2 0
d = 1.880 Å, rel. 56, hkl 0 3 3
d = 1.844 Å, rel. 34, hkl 0 0 6
d = 1.321 Å, rel. 17, hkl 2 2 6

Record 2
Simulated powder X-ray diffraction pattern of SrLaTc for Cu Ka, from a crystal structure in Alexandria, relaxed with GGA-PBE.
Neutral-atom scattering factors, no anomalous dispersion.

Structure:
```
data_SrLaTc
_symmetry_space_group_name_H-M 'I 4 m m'
_symmetry_Int_Tables_number 107
_symmetry_space_group_name_Hall 'I 4 -2'
_cell_length_a 3.624
_cell_length_b 3.624
_cell_length_c 13.781
_cell_angle_alpha 90.00
_cell_angle_beta 90.00
_cell_angle_gamma 90.00
loop_
_atom_site_label
_atom_site_fract_x
_atom_site_fract_y
_atom_site_fract_z
_atom_site_occupancy
Sr1 0.000 0.000 0.000 1
La1 0.000 0.000 0.253 1
Tc1 0.000 0.000 0.650 1
```

Main lines, in order of rising 2θ (10° ≤ 2θ ≤ 80°):
d = 6.891 Å, rel. 48, hkl 0 0 2
d = 3.445 Å, rel. 15, hkl 0 0 4
d = 2.845 Å, rel. 100, hkl 1 0 3
d = 2.563 Å, rel. 61, hkl 1 1 0
d = 2.194 Å, rel. 46, hkl 1 0 5
d = 2.056 Å, rel. 14, hkl 1 1 4
d = 1.812 Å, rel. 22, hkl 2 0 0
d = 1.529 Å, rel. 30, hkl 2 1 3
d = 1.430 Å, rel. 14, hkl 1 1 8
d = 1.397 Å, rel. 21, hkl 2 1 5

Record 3
Simulated powder X-ray diffraction pattern of ZrB2Mo3C2 for Cu Ka, from a crystal structure in Alexandria, relaxed with GGA-PBE.
Neutral-atom scattering factors, no anomalous dispersion.

Structure:
```
data_ZrB2Mo3C2
_symmetry_space_group_name_H-M 'A m m 2'
_symmetry_Int_Tables_number 38
_cell_length_a 3.163
_cell_length_b 3.196
_cell_length_c 17.654
_cell_angle_alpha 90.00
_cell_angle_beta 90.00
_cell_angle_gamma 90.00
loop_
_symmetry_equiv_pos_as_xyz
'x,y,z'
'-x,-y,z'
'-x,y,z'
'x,-y,z'
'x,y+1/2,z+1/2'
'-x,-y+1/2,z+1/2'
'-x,y+1/2,z+1/2'
'x,-y+1/2,z+1/2'
loop_
_atom_site_label
_atom_site_fract_x
_atom_site_fract_y
_atom_site_fract_z
_atom_site_occupancy
Zr1 0.000 0.000 0.000 1
B1 0.000 0.000 0.842 1
B2 0.500 0.000 0.785 1
Mo1 0.000 0.000 0.243 1
Mo2 0.500 0.000 0.381 1
Mo3 0.500 0.000 0.626 1
C1 0.000 0.000 0.128 1
C2 0.500 0.000 0.504 1
```

Main lines, in order of rising 2θ (10° ≤ 2θ ≤ 80°):
d = 2.809 Å, rel. 39, hkl 0 1 3
d = 2.571 Å, rel. 100, hkl 1 0 4
d = 2.370 Å, rel. 48, hkl 0 1 5
d = 2.230 Å, rel. 83, hkl 1 1 1
d = 2.207 Å, rel. 40, hkl 0 0 8
d = 1.678 Å, rel. 22, hkl 1 1 7
d = 1.598 Å, rel. 16, hkl 0 2 0
d = 1.581 Å, rel. 15, hkl 2 0 0
d = 1.478 Å, rel. 26, hkl 1 1 9
d = 1.357 Å, rel. 27, hkl 1 2 4

Record 4
Simulated powder X-ray diffraction pattern of K2PtS15 for Cu Ka, from a crystal structure in Alexandria, relaxed with GGA-PBE.
Neutral-atom scattering factors, no anomalous dispersion.

Structure:
```
data_K2PtS15
_symmetry_space_group_name_H-M 'C 1 c 1'
_symmetry_Int_Tables_number 9
_cell_length_a 14.377
_cell_length_b 11.142
_cell_length_c 13.655
_cell_angle_alpha 90.00
_cell_angle_beta 95.57
_cell_angle_gamma 90.00
loop_
_symmetry_equiv_pos_as_xyz
'x,y,z'
'x,-y,z+1/2'
'x+1/2,y+1/2,z'
'x+1/2,-y+1/2,z+1/2'
loop_
_atom_site_label
_atom_site_fract_x
_atom_site_fract_y
_atom_site_fract_z
_atom_site_occupancy
K1 0.000 0.082 0.000 1
K2 0.114 0.408 0.270 1
Pt1 0.374 0.296 0.176 1
S1 0.006 0.080 0.741 1
S2 0.052 0.265 0.512 1
S3 0.128 0.167 0.726 1
S4 0.129 0.428 0.994 1
S5 0.151 0.145 0.580 1
S6 0.190 0.258 0.977 1
S7 0.228 0.197 0.116 1
S8 0.249 0.468 0.529 1
S9 0.256 0.136 0.364 1
S10 0.297 0.492 0.170 1
S11 0.329 0.289 0.343 1
S12 0.350 0.004 0.879 1
S13 0.374 0.027 0.731 1
S14 0.423 0.313 0.011 1
S15 0.459 0.109 0.196 1
```

Main lines, in order of rising 2θ (10° ≤ 2θ ≤ 80°):
d = 7.591 Å, rel. 83, hkl 1 1 -1
d = 7.184 Å, rel. 100, hkl 1 1 1
d = 6.795 Å, rel. 21, hkl 0 0 2
d = 5.155 Å, rel. 17, hkl 0 2 1
d = 3.595 Å, rel. 14, hkl 1 3 0
d = 3.301 Å, rel. 12, hkl 3 1 -3
d = 3.192 Å, rel. 18, hkl 2 0 -4
d = 2.930 Å, rel. 14, hkl 3 3 0
d = 2.890 Å, rel. 13, hkl 4 2 1
d = 2.640 Å, rel. 15, hkl 1 1 -5

Record 5
Simulated powder X-ray diffraction pattern of Th3Pb4 for Cu Ka, from a crystal structure in Alexandria, relaxed with GGA-PBE.
Neutral-atom scattering factors, no anomalous dispersion.

Structure:
```
data_Th3Pb4
_symmetry_space_group_name_H-M 'C 1 2/m 1'
_symmetry_Int_Tables_number 12
_cell_length_a 11.958
_cell_length_b 4.506
_cell_length_c 16.464
_cell_angle_alpha 90.00
_cell_angle_beta 90.01
_cell_angle_gamma 90.00
loop_
_symmetry_equiv_pos_as_xyz
'x,y,z'
'-x,-y,-z'
'-x,y,-z'
'x,-y,z'
'x+1/2,y+1/2,z'
'-x+1/2,-y+1/2,-z'
'-x+1/2,y+1/2,-z'
'x+1/2,-y+1/2,z'
loop_
_atom_site_label
_atom_site_fract_x
_atom_site_fract_y
_atom_site_fract_z
_atom_site_occupancy
Th1 0.091 0.000 0.250 1
Th2 0.153 0.500 0.601 1
Th3 0.153 0.500 0.899 1
Pb1 0.000 0.000 0.000 1
Pb2 0.000 0.000 0.500 1
Pb3 0.136 0.500 0.106 1
Pb4 0.136 0.500 0.394 1
Pb5 0.173 0.000 0.750 1
```

Main lines, in order of rising 2θ (10° ≤ 2θ ≤ 80°):
d = 2.987 Å, rel. 43, hkl 4 0 0
d = 2.945 Å, rel. 100, hkl 1 1 4
d = 2.807 Å, rel. 39, hkl 3 1 -2
d = 2.744 Å, rel. 14, hkl 0 0 6
d = 2.417 Å, rel. 39, hkl 3 1 4
d = 2.253 Å, rel. 26, hkl 0 2 0
d = 2.021 Å, rel. 16, hkl 4 0 -6
d = 1.534 Å, rel. 11, hkl 7 1 -3
d = 1.505 Å, rel. 12, hkl 4 2 -6
d = 1.442 Å, rel. 18, hkl 3 1 -10

Record 6
Simulated powder X-ray diffraction pattern of Pb2C2O5 for Cu Ka, from a crystal structure in Alexandria, relaxed with GGA-PBE.
Neutral-atom scattering factors, no anomalous dispersion.

Structure:
```
data_Pb2C2O5
_symmetry_space_group_name_H-M 'C 1 2/m 1'
_symmetry_Int_Tables_number 12
_cell_length_a 8.855
_cell_length_b 6.223
_cell_length_c 6.509
_cell_angle_alpha 90.00
_cell_angle_beta 95.34
_cell_angle_gamma 90.00
loop_
_symmetry_equiv_pos_as_xyz
'x,y,z'
'-x,-y,-z'
'-x,y,-z'
'x,-y,z'
'x+1/2,y+1/2,z'
'-x+1/2,-y+1/2,-z'
'-x+1/2,y+1/2,-z'
'x+1/2,-y+1/2,z'
loop_
_atom_site_label
_atom_site_fract_x
_atom_site_fract_y
_atom_site_fract_z
_atom_site_occupancy
Pb1 0.011 0.000 0.244 1
C1 0.158 0.500 0.999 1
O1 0.000 0.500 0.000 1
O2 0.205 0.500 0.822 1
O3 0.229 0.500 0.176 1
```

Main lines, in order of rising 2θ (10° ≤ 2θ ≤ 80°):
d = 5.084 Å, rel. 100, hkl 1 1 0
d = 4.408 Å, rel. 33, hkl 2 0 0
d = 3.240 Å, rel. 22, hkl 0 0 2
d = 3.111 Å, rel. 33, hkl 0 2 0
d = 2.802 Å, rel. 35, hkl 1 1 -2
d = 2.668 Å, rel. 30, hkl 1 1 2
d = 2.657 Å, rel. 31, hkl 3 1 0
d = 2.542 Å, rel. 18, hkl 2 2 0
d = 2.244 Å, rel. 17, hkl 0 2 2
d = 2.145 Å, rel. 15, hkl 3 1 -2

Record 7
Simulated powder X-ray diffraction pattern of HgC2 for Cu Ka, from a crystal structure in Alexandria, relaxed with GGA-PBE.
Neutral-atom scattering factors, no anomalous dispersion.

Structure:
```
data_HgC2
_symmetry_space_group_name_H-M 'C 1 2/m 1'
_symmetry_Int_Tables_number 12
_cell_length_a 11.957
_cell_length_b 2.596
_cell_length_c 6.176
_cell_angle_alpha 90.00
_cell_angle_beta 108.68
_cell_angle_gamma 90.00
loop_
_symmetry_equiv_pos_as_xyz
'x,y,z'
'-x,-y,-z'
'-x,y,-z'
'x,-y,z'
'x+1/2,y+1/2,z'
'-x+1/2,-y+1/2,-z'
'-x+1/2,y+1/2,-z'
'x+1/2,-y+1/2,z'
loop_
_atom_site_label
_atom_site_fract_x
_atom_site_fract_y
_atom_site_fract_z
_atom_site_occupancy
Hg1 0.181 0.000 0.129 1
C1 0.036 0.500 0.422 1
C2 0.069 0.000 0.353 1
```

Main lines, in order of rising 2θ (10° ≤ 2θ ≤ 80°):
d = 5.850 Å, rel. 88, hkl 0 0 1
d = 5.663 Å, rel. 69, hkl 2 0 0
d = 3.542 Å, rel. 100, hkl 2 0 1
d = 3.024 Å, rel. 30, hkl 2 0 -2
d = 2.945 Å, rel. 31, hkl 4 0 -1
d = 2.468 Å, rel. 34, hkl 4 0 -2
d = 2.385 Å, rel. 54, hkl 1 1 -1
d = 2.138 Å, rel. 68, hkl 3 1 0
d = 1.985 Å, rel. 24, hkl 1 1 -2
d = 1.849 Å, rel. 24, hkl 1 1 2

Record 8
Simulated powder X-ray diffraction pattern of Sc2Bi3H for Cu Ka, from a crystal structure in Alexandria, relaxed with GGA-PBE.
Neutral-atom scattering factors, no anomalous dispersion.

Structure:
```
data_Sc2Bi3H
_symmetry_space_group_name_H-M 'C 1 2/m 1'
_symmetry_Int_Tables_number 12
_cell_length_a 19.552
_cell_length_b 3.501
_cell_length_c 10.964
_cell_angle_alpha 90.00
_cell_angle_beta 121.15
_cell_angle_gamma 90.00
loop_
_symmetry_equiv_pos_as_xyz
'x,y,z'
'-x,-y,-z'
'-x,y,-z'
'x,-y,z'
'x+1/2,y+1/2,z'
'-x+1/2,-y+1/2,-z'
'-x+1/2,y+1/2,-z'
'x+1/2,-y+1/2,z'
loop_
_atom_site_label
_atom_site_fract_x
_atom_site_fract_y
_atom_site_fract_z
_atom_site_occupancy
Sc1 0.056 0.000 0.160 1
Sc2 0.109 0.500 0.962 1
Bi1 0.046 0.500 0.377 1
Bi2 0.194 0.000 0.853 1
Bi3 0.206 0.500 0.318 1
H1 0.064 0.000 0.981 1
```

Main lines, in order of rising 2θ (10° ≤ 2θ ≤ 80°):
d = 5.075 Å, rel. 22, hkl 2 0 1
d = 3.529 Å, rel. 24, hkl 4 0 -3
d = 3.408 Å, rel. 46, hkl 2 0 2
d = 3.246 Å, rel. 65, hkl 6 0 -2
d = 3.114 Å, rel. 100, hkl 1 1 1
d = 2.738 Å, rel. 30, hkl 4 0 -4
d = 2.578 Å, rel. 35, hkl 5 1 -2
d = 2.443 Å, rel. 22, hkl 1 1 -3
d = 2.396 Å, rel. 39, hkl 5 1 -3
d = 2.123 Å, rel. 36, hkl 7 1 -1